BaSb3O6: calculated powder diffraction line list (CuKα), based on a structure optimized by DFT (GGA-PBE).
Peak positions follow from Bragg's law for the DFT cell and can differ from measured ones.

Atomic structure:
Lattice parameters (Å, degrees): 9.557 5.509 14.434 90.00 97.02 90.00
Space group P2_1/c (No. 14)
Unique sites:
Ba1 0.051 0.220 0.390 (multiplicity 4)
Sb1 0.233 0.205 0.148 (multiplicity 4)
Sb2 0.327 0.690 0.294 (multiplicity 4)
Sb3 0.395 0.721 0.023 (multiplicity 4)
O1 0.051 0.168 0.079 (multiplicity 4)
O2 0.180 0.063 0.744 (multiplicity 4)
O3 0.186 0.558 0.750 (multiplicity 4)
O4 0.239 0.529 0.059 (multiplicity 4)
O5 0.267 0.605 0.417 (multiplicity 4)
O6 0.447 0.526 0.914 (multiplicity 4)

Top 10 peaks for 10 to 90 degrees two-theta, sorted by position:
index  2θ/deg  I/Imax
2 1 0  24.76  1000
2 1 -2  26.70  637
1 0 4  27.68  247
2 1 2  28.80  252
2 0 -4  29.39  214
0 1 4  29.75  388
1 1 -4  30.29  460
0 2 0  32.51  332
3 1 4  43.61  178
3 1 -6  47.78  232